No. 1
For TaMo4S10, a crystal structure in Alexandria, relaxed with PBE gives the simulated XRD peak list in this record (Cu Kα (weighted mean of Kα1 and Kα2)).
Kinematic intensities with the Lorentz-polarization factor, no thermal factor.

Structure:
```
data_TaMo4S10
_space_group_name_H-M_alt 'P 1'
_space_group_IT_number 1
_space_group_name_Hall 'P 1'
_cell_length_a 5.5995
_cell_length_b 6.8004
_cell_length_c 8.5521
_cell_angle_alpha 100.24
_cell_angle_beta 109.10
_cell_angle_gamma 97.86
loop_
_atom_site_label
_atom_site_type_symbol
_atom_site_fract_x
_atom_site_fract_y
_atom_site_fract_z
Ta1 Ta 0.0000 0.0000 0.0000
Mo1 Mo 0.1976 0.9999 0.4031
Mo2 Mo 0.3977 0.0000 0.7977
Mo3 Mo 0.6001 0.0000 0.2024
Mo4 Mo 0.7944 0.0000 0.5969
S1 S 0.0665 0.7637 0.5539
S2 S 0.1919 0.2362 0.6476
S3 S 0.2747 0.7619 0.9528
S4 S 0.4010 0.2379 0.0472
S5 S 0.4659 0.7637 0.3525
S6 S 0.5913 0.2361 0.4462
S7 S 0.6646 0.7619 0.7489
S8 S 0.7910 0.2380 0.8434
S9 S 0.8687 0.7620 0.1569
S10 S 0.9950 0.2379 0.2513
```

The 10 most intense peaks (2θ from 10° to 80°), low angle first:
hkl 0 1 0, 13.5 deg, intensity 100.0; hkl 1 0 -3, 32.3 deg, intensity 25.0; hkl 1 1 -3, 33.3 deg, intensity 24.0; hkl 2 1 -1, 37.0 deg, intensity 29.5; hkl -2 2 1, 39.5 deg, intensity 31.3; hkl 2 2 -1, 45.8 deg, intensity 14.9; hkl 1 -3 2, 45.8 deg, intensity 7.4; hkl -2 3 1, 49.4 deg, intensity 10.0; hkl 3 0 -4, 57.0 deg, intensity 15.1; hkl 3 0 1, 58.9 deg, intensity 12.5

No. 2
For TcMoS4, a crystal structure in Alexandria, relaxed with PBE gives the simulated XRD peak list in this record (Cu Kα (weighted mean of Kα1 and Kα2)).
Kinematic intensities with the Lorentz-polarization factor, no thermal factor.

Structure:
```
data_TcMoS4
_space_group_name_H-M_alt 'C 1 m 1'
_space_group_IT_number 8
_space_group_name_Hall 'C -2y'
_cell_length_a 14.1481
_cell_length_b 3.1266
_cell_length_c 5.7500
_cell_angle_alpha 90.00
_cell_angle_beta 101.10
_cell_angle_gamma 90.00
loop_
_atom_site_label
_atom_site_type_symbol
_atom_site_fract_x
_atom_site_fract_y
_atom_site_fract_z
Tc1 Tc 0.0000 0.0000 0.0000
Mo1 Mo 0.0079 0.5000 0.4068
S1 S 0.0996 0.5000 0.8268
S2 S 0.1271 0.0000 0.3354
S3 S 0.3811 0.0000 0.0737
S4 S 0.4080 0.5000 0.5908
```

The 10 most intense peaks (2θ from 10° to 80°), low angle first:
hkl 2 0 0, 12.8 deg, intensity 100.0; hkl 0 0 2, 31.7 deg, intensity 5.9; hkl 1 1 -1, 32.8 deg, intensity 12.9; hkl 3 1 -1, 36.6 deg, intensity 40.4; hkl 3 1 1, 39.8 deg, intensity 5.7; hkl 5 1 -1, 44.3 deg, intensity 9.4; hkl 4 0 2, 45.1 deg, intensity 4.6; hkl 6 0 -2, 45.7 deg, intensity 4.6; hkl 5 1 1, 48.9 deg, intensity 10.8; hkl 1 1 -3, 56.4 deg, intensity 4.9

No. 3
For Te4Mo3S2, a crystal structure in Alexandria, relaxed with PBE gives the simulated XRD peak list in this record (Cu Kα (weighted mean of Kα1 and Kα2)).
Kinematic intensities with the Lorentz-polarization factor, no thermal factor.

Structure:
```
data_Te4Mo3S2
_space_group_name_H-M_alt 'P -6 m 2'
_space_group_IT_number 187
_space_group_name_Hall 'P -6 2'
_cell_length_a 3.4218
_cell_length_b 3.4218
_cell_length_c 27.2725
_cell_angle_alpha 90.00
_cell_angle_beta 90.00
_cell_angle_gamma 120.00
loop_
_atom_site_label
_atom_site_type_symbol
_atom_site_fract_x
_atom_site_fract_y
_atom_site_fract_z
Te1 Te 0.0000 0.0000 0.1697
Te2 Te 0.0000 0.0000 0.3064
Mo1 Mo 0.0000 0.0000 0.5000
Mo2 Mo 0.6667 0.3333 0.2380
S1 S 0.6667 0.3333 0.4452
```

The 10 most intense peaks (2θ from 10° to 80°), low angle first:
hkl 0 0 4, 13.0 deg, intensity 29.4; hkl 1 0 0, 30.2 deg, intensity 58.1; hkl 1 0 5, 34.4 deg, intensity 19.0; hkl 1 0 6, 36.2 deg, intensity 100.0; hkl 1 0 8, 40.3 deg, intensity 24.9; hkl 1 0 9, 42.7 deg, intensity 34.4; hkl 1 0 10, 45.2 deg, intensity 21.2; hkl 1 1 0, 53.6 deg, intensity 34.2; hkl 2 0 6, 66.4 deg, intensity 17.8; hkl 1 1 15, 76.4 deg, intensity 16.2

No. 4
For Te3Mo2S, a crystal structure in Alexandria, relaxed with PBE gives the simulated XRD peak list in this record (Cu Kα (weighted mean of Kα1 and Kα2)).
Kinematic intensities with the Lorentz-polarization factor, no thermal factor.

Structure:
```
data_Te3Mo2S
_space_group_name_H-M_alt 'P 3 m 1'
_space_group_IT_number 156
_space_group_name_Hall 'P 3 -2"'
_cell_length_a 3.4559
_cell_length_b 3.4559
_cell_length_c 37.7503
_cell_angle_alpha 90.00
_cell_angle_beta 90.00
_cell_angle_gamma 120.00
loop_
_atom_site_label
_atom_site_type_symbol
_atom_site_fract_x
_atom_site_fract_y
_atom_site_fract_z
Te1 Te 0.0000 0.0000 0.0000
Te2 Te 0.0000 0.0000 0.0980
Te3 Te 0.0000 0.0000 0.3741
Te4 Te 0.0000 0.0000 0.4722
Te5 Te 0.6667 0.3333 0.5761
Te6 Te 0.6667 0.3333 0.6741
Mo1 Mo 0.0000 0.0000 0.2370
Mo2 Mo 0.0000 0.0000 0.6252
Mo3 Mo 0.6667 0.3333 0.0490
Mo4 Mo 0.6667 0.3333 0.4231
S1 S 0.6667 0.3333 0.1976
S2 S 0.6667 0.3333 0.2763
```

The 10 most intense peaks (2θ from 10° to 80°), low angle first:
hkl 0 0 5, 11.7 deg, intensity 62.6; hkl 1 0 0, 29.9 deg, intensity 61.2; hkl 1 0 2, 30.2 deg, intensity 11.8; hkl 1 0 7, 34.3 deg, intensity 14.0; hkl 0 1 8, 35.5 deg, intensity 100.0; hkl 1 0 11, 40.0 deg, intensity 33.7; hkl 0 1 13, 43.4 deg, intensity 48.3; hkl 1 1 0, 53.0 deg, intensity 35.9; hkl 2 0 8, 65.4 deg, intensity 16.2; hkl 1 1 21, 76.5 deg, intensity 14.0

No. 5
For Te4Mo2WS2, a crystal structure in Alexandria, relaxed with PBE gives the simulated XRD peak list in this record (Cu Kα (weighted mean of Kα1 and Kα2)).
Kinematic intensities with the Lorentz-polarization factor, no thermal factor.

Structure:
```
data_Te4Mo2WS2
_space_group_name_H-M_alt 'P -6 m 2'
_space_group_IT_number 187
_space_group_name_Hall 'P -6 2'
_cell_length_a 3.4145
_cell_length_b 3.4145
_cell_length_c 28.1672
_cell_angle_alpha 90.00
_cell_angle_beta 90.00
_cell_angle_gamma 120.00
loop_
_atom_site_label
_atom_site_type_symbol
_atom_site_fract_x
_atom_site_fract_y
_atom_site_fract_z
Te1 Te 0.0000 0.0000 0.1773
Te2 Te 0.0000 0.0000 0.3098
Mo1 Mo 0.6667 0.3333 0.2435
W1 W 0.0000 0.0000 0.5000
S1 S 0.6667 0.3333 0.4467
```

The 10 most intense peaks (2θ from 10° to 80°), low angle first:
hkl 0 0 4, 12.6 deg, intensity 50.9; hkl 0 0 6, 18.9 deg, intensity 20.0; hkl 1 0 0, 30.2 deg, intensity 56.2; hkl 1 0 5, 34.2 deg, intensity 15.2; hkl 1 0 6, 35.9 deg, intensity 100.0; hkl 1 0 8, 39.8 deg, intensity 19.8; hkl 1 0 9, 42.0 deg, intensity 22.0; hkl 1 0 10, 44.4 deg, intensity 37.2; hkl 1 1 0, 53.7 deg, intensity 27.6; hkl 2 0 6, 66.3 deg, intensity 16.6

No. 6
For Te4Mo3WS4, a crystal structure in Alexandria, relaxed with PBE gives the simulated XRD peak list in this record (Cu Kα (weighted mean of Kα1 and Kα2)).
Kinematic intensities with the Lorentz-polarization factor, no thermal factor.

Structure:
```
data_Te4Mo3WS4
_space_group_name_H-M_alt 'P 3 m 1'
_space_group_IT_number 156
_space_group_name_Hall 'P 3 -2"'
_cell_length_a 3.3607
_cell_length_b 3.3607
_cell_length_c 35.2188
_cell_angle_alpha 90.00
_cell_angle_beta 90.00
_cell_angle_gamma 120.00
loop_
_atom_site_label
_atom_site_type_symbol
_atom_site_fract_x
_atom_site_fract_y
_atom_site_fract_z
Te1 Te 0.0000 0.0000 0.0000
Te2 Te 0.0000 0.0000 0.1074
Te3 Te 0.6667 0.3333 0.2201
Te4 Te 0.6667 0.3333 0.3281
Mo1 Mo 0.0000 0.0000 0.8480
Mo2 Mo 0.6667 0.3333 0.0537
Mo3 Mo 0.6667 0.3333 0.6538
W1 W 0.0000 0.0000 0.2741
S1 S 0.0000 0.0000 0.6108
S2 S 0.0000 0.0000 0.6967
S3 S 0.6667 0.3333 0.8051
S4 S 0.6667 0.3333 0.8910
```

The 10 most intense peaks (2θ from 10° to 80°), low angle first:
hkl 0 0 4, 10.0 deg, intensity 50.4; hkl 0 0 5, 12.6 deg, intensity 72.9; hkl 1 0 0, 30.7 deg, intensity 45.5; hkl 1 0 6, 34.4 deg, intensity 18.5; hkl 0 1 7, 35.6 deg, intensity 100.0; hkl 0 1 8, 37.0 deg, intensity 27.5; hkl 1 0 10, 40.2 deg, intensity 18.7; hkl 1 0 11, 42.0 deg, intensity 28.3; hkl 0 1 12, 43.8 deg, intensity 52.3; hkl 1 1 0, 54.6 deg, intensity 41.5

No. 7
For TeMoWS3, a crystal structure in Alexandria, relaxed with PBE gives the simulated XRD peak list in this record (Cu Kα (weighted mean of Kα1 and Kα2)).
Kinematic intensities with the Lorentz-polarization factor, no thermal factor.

Structure:
```
data_TeMoWS3
_space_group_name_H-M_alt 'P 3 m 1'
_space_group_IT_number 156
_space_group_name_Hall 'P 3 -2"'
_cell_length_a 3.2747
_cell_length_b 3.2747
_cell_length_c 34.4684
_cell_angle_alpha 90.00
_cell_angle_beta 90.00
_cell_angle_gamma 120.00
loop_
_atom_site_label
_atom_site_type_symbol
_atom_site_fract_x
_atom_site_fract_y
_atom_site_fract_z
Te1 Te 0.0000 0.0000 0.0000
Te2 Te 0.0000 0.0000 0.1126
Mo1 Mo 0.0000 0.0000 0.2665
Mo2 Mo 0.6667 0.3333 0.6431
W1 W 0.0000 0.0000 0.8445
W2 W 0.6667 0.3333 0.0563
S1 S 0.0000 0.0000 0.5984
S2 S 0.0000 0.0000 0.6876
S3 S 0.6667 0.3333 0.2219
S4 S 0.6667 0.3333 0.3111
S5 S 0.6667 0.3333 0.7997
S6 S 0.6667 0.3333 0.8893
```

The 10 most intense peaks (2θ from 10° to 80°), low angle first:
hkl 0 0 4, 10.3 deg, intensity 82.8; hkl 0 0 5, 12.8 deg, intensity 100.0; hkl 1 0 0, 31.5 deg, intensity 36.1; hkl 1 0 1, 31.7 deg, intensity 14.0; hkl 1 0 5, 34.2 deg, intensity 14.9; hkl 0 1 7, 36.6 deg, intensity 91.2; hkl 1 0 8, 38.0 deg, intensity 35.9; hkl 0 1 12, 44.9 deg, intensity 51.5; hkl 1 1 0, 56.2 deg, intensity 33.0; hkl 2 0 7, 68.9 deg, intensity 18.5

No. 8
For Te4MoW2S2, a crystal structure in Alexandria, relaxed with PBE gives the simulated XRD peak list in this record (Cu Kα (weighted mean of Kα1 and Kα2)).
Kinematic intensities with the Lorentz-polarization factor, no thermal factor.

Structure:
```
data_Te4MoW2S2
_space_group_name_H-M_alt 'P -6 m 2'
_space_group_IT_number 187
_space_group_name_Hall 'P -6 2'
_cell_length_a 3.4287
_cell_length_b 3.4287
_cell_length_c 30.3750
_cell_angle_alpha 90.00
_cell_angle_beta 90.00
_cell_angle_gamma 120.00
loop_
_atom_site_label
_atom_site_type_symbol
_atom_site_fract_x
_atom_site_fract_y
_atom_site_fract_z
Te1 Te 0.0000 0.0000 0.1727
Te2 Te 0.0000 0.0000 0.2959
Mo1 Mo 0.0000 0.0000 0.0000
W1 W 0.6667 0.3333 0.2344
S1 S 0.6667 0.3333 0.0491
```

The 10 most intense peaks (2θ from 10° to 80°), low angle first:
hkl 0 0 4, 11.7 deg, intensity 100.0; hkl 1 0 0, 30.1 deg, intensity 42.6; hkl 1 0 4, 32.4 deg, intensity 25.1; hkl 1 0 6, 35.0 deg, intensity 73.6; hkl 1 0 7, 36.7 deg, intensity 57.0; hkl 0 0 13, 38.5 deg, intensity 32.2; hkl 1 0 9, 40.5 deg, intensity 23.8; hkl 1 0 10, 42.6 deg, intensity 28.1; hkl 0 0 15, 44.8 deg, intensity 42.7; hkl 1 1 0, 53.5 deg, intensity 34.2

No. 9
For Te6MoW3S2, a crystal structure in Alexandria, relaxed with PBE gives the simulated XRD peak list in this record (Cu Kα (weighted mean of Kα1 and Kα2)).
Kinematic intensities with the Lorentz-polarization factor, no thermal factor.

Structure:
```
data_Te6MoW3S2
_space_group_name_H-M_alt 'P 3 m 1'
_space_group_IT_number 156
_space_group_name_Hall 'P 3 -2"'
_cell_length_a 3.4529
_cell_length_b 3.4529
_cell_length_c 39.1332
_cell_angle_alpha 90.00
_cell_angle_beta 90.00
_cell_angle_gamma 120.00
loop_
_atom_site_label
_atom_site_type_symbol
_atom_site_fract_x
_atom_site_fract_y
_atom_site_fract_z
Te1 Te 0.0000 0.0000 0.0000
Te2 Te 0.0000 0.0000 0.0951
Te3 Te 0.0000 0.0000 0.3882
Te4 Te 0.0000 0.0000 0.4832
Te5 Te 0.3333 0.6667 0.1936
Te6 Te 0.3333 0.6667 0.2881
Mo1 Mo 0.0000 0.0000 0.2409
W1 W 0.0000 0.0000 0.8634
W2 W 0.3333 0.6667 0.0475
W3 W 0.3333 0.6667 0.4357
S1 S 0.3333 0.6667 0.8253
S2 S 0.3333 0.6667 0.9015
```

The 10 most intense peaks (2θ from 10° to 80°), low angle first:
hkl 0 0 5, 11.3 deg, intensity 100.0; hkl 1 0 0, 29.9 deg, intensity 47.2; hkl 1 0 5, 32.0 deg, intensity 15.3; hkl 0 1 7, 34.0 deg, intensity 20.0; hkl 1 0 8, 35.2 deg, intensity 88.0; hkl 0 1 13, 42.6 deg, intensity 56.8; hkl 1 1 0, 53.1 deg, intensity 34.0; hkl 0 2 8, 65.3 deg, intensity 14.7; hkl 2 0 13, 70.3 deg, intensity 12.8; hkl 1 1 21, 75.0 deg, intensity 19.3

No. 10
For TeMoWS3, a crystal structure in Alexandria, relaxed with PBE gives the simulated XRD peak list in this record (Cu Kα (weighted mean of Kα1 and Kα2)).
Kinematic intensities with the Lorentz-polarization factor, no thermal factor.

Structure:
```
data_TeMoWS3
_space_group_name_H-M_alt 'P 3 m 1'
_space_group_IT_number 156
_space_group_name_Hall 'P 3 -2"'
_cell_length_a 3.2711
_cell_length_b 3.2711
_cell_length_c 33.6336
_cell_angle_alpha 90.00
_cell_angle_beta 90.00
_cell_angle_gamma 120.00
loop_
_atom_site_label
_atom_site_type_symbol
_atom_site_fract_x
_atom_site_fract_y
_atom_site_fract_z
Te1 Te 0.0000 0.0000 0.0000
Te2 Te 0.0000 0.0000 0.1148
Mo1 Mo 0.0000 0.0000 0.8407
Mo2 Mo 0.6667 0.3333 0.0574
W1 W 0.0000 0.0000 0.2804
W2 W 0.6667 0.3333 0.6325
S1 S 0.0000 0.0000 0.5866
S2 S 0.0000 0.0000 0.6784
S3 S 0.6667 0.3333 0.2345
S4 S 0.6667 0.3333 0.3263
S5 S 0.6667 0.3333 0.7950
S6 S 0.6667 0.3333 0.8864
```

The 10 most intense peaks (2θ from 10° to 80°), low angle first:
hkl 0 0 4, 10.5 deg, intensity 79.8; hkl 0 0 5, 13.2 deg, intensity 67.1; hkl 0 0 6, 15.8 deg, intensity 28.4; hkl 1 0 0, 31.6 deg, intensity 40.1; hkl 0 1 1, 31.7 deg, intensity 21.2; hkl 1 0 4, 33.4 deg, intensity 18.5; hkl 1 0 7, 36.8 deg, intensity 100.0; hkl 0 1 11, 43.6 deg, intensity 30.9; hkl 1 0 12, 45.5 deg, intensity 31.0; hkl 1 1 0, 56.2 deg, intensity 29.0

No. 11
For Te4Mo3WS4, a crystal structure in Alexandria, relaxed with PBE gives the simulated XRD peak list in this record (Cu Kα (weighted mean of Kα1 and Kα2)).
Kinematic intensities with the Lorentz-polarization factor, no thermal factor.

Structure:
```
data_Te4Mo3WS4
_space_group_name_H-M_alt 'P 3 m 1'
_space_group_IT_number 156
_space_group_name_Hall 'P 3 -2"'
_cell_length_a 3.3566
_cell_length_b 3.3566
_cell_length_c 36.1608
_cell_angle_alpha 90.00
_cell_angle_beta 90.00
_cell_angle_gamma 120.00
loop_
_atom_site_label
_atom_site_type_symbol
_atom_site_fract_x
_atom_site_fract_y
_atom_site_fract_z
Te1 Te 0.0000 0.0000 0.0000
Te2 Te 0.0000 0.0000 0.1047
Te3 Te 0.0000 0.0000 0.4013
Te4 Te 0.0000 0.0000 0.5060
Mo1 Mo 0.0000 0.0000 0.2529
Mo2 Mo 0.6667 0.3333 0.0523
Mo3 Mo 0.6667 0.3333 0.4537
W1 W 0.0000 0.0000 0.6565
S1 S 0.6667 0.3333 0.2111
S2 S 0.6667 0.3333 0.2948
S3 S 0.6667 0.3333 0.6145
S4 S 0.6667 0.3333 0.6984
```

The 10 most intense peaks (2θ from 10° to 80°), low angle first:
hkl 0 0 5, 12.2 deg, intensity 100.0; hkl 0 0 7, 17.2 deg, intensity 18.4; hkl 1 0 0, 30.8 deg, intensity 67.6; hkl 0 1 7, 35.4 deg, intensity 72.3; hkl 1 0 8, 36.8 deg, intensity 70.4; hkl 0 1 12, 43.2 deg, intensity 53.9; hkl 1 0 13, 45.1 deg, intensity 26.2; hkl 1 1 0, 54.7 deg, intensity 37.1; hkl 0 1 20, 60.3 deg, intensity 18.3; hkl 1 1 20, 77.6 deg, intensity 20.3

No. 12
For Te4Mo3WS4, a crystal structure in Alexandria, relaxed with PBE gives the simulated XRD peak list in this record (Cu Kα (weighted mean of Kα1 and Kα2)).
Kinematic intensities with the Lorentz-polarization factor, no thermal factor.

Structure:
```
data_Te4Mo3WS4
_space_group_name_H-M_alt 'P 3 m 1'
_space_group_IT_number 156
_space_group_name_Hall 'P 3 -2"'
_cell_length_a 3.3567
_cell_length_b 3.3567
_cell_length_c 29.1148
_cell_angle_alpha 90.00
_cell_angle_beta 90.00
_cell_angle_gamma 120.00
loop_
_atom_site_label
_atom_site_type_symbol
_atom_site_fract_x
_atom_site_fract_y
_atom_site_fract_z
Te1 Te 0.0000 0.0000 0.0000
Te2 Te 0.0000 0.0000 0.1301
Te3 Te 0.0000 0.0000 0.4982
Te4 Te 0.0000 0.0000 0.6283
Mo1 Mo 0.0000 0.0000 0.3145
Mo2 Mo 0.3333 0.6667 0.0650
Mo3 Mo 0.3333 0.6667 0.5633
W1 W 0.0000 0.0000 0.8135
S1 S 0.3333 0.6667 0.2626
S2 S 0.3333 0.6667 0.3664
S3 S 0.3333 0.6667 0.7614
S4 S 0.3333 0.6667 0.8656
```

The 10 most intense peaks (2θ from 10° to 80°), low angle first:
hkl 0 0 4, 12.2 deg, intensity 81.0; hkl 0 0 6, 18.3 deg, intensity 23.1; hkl 1 0 0, 30.8 deg, intensity 54.6; hkl 1 0 6, 36.0 deg, intensity 100.0; hkl 1 0 10, 44.0 deg, intensity 52.2; hkl 1 1 0, 54.7 deg, intensity 27.1; hkl 0 1 16, 60.0 deg, intensity 15.2; hkl 0 2 6, 67.2 deg, intensity 15.7; hkl 0 2 10, 72.7 deg, intensity 12.9; hkl 1 1 16, 77.3 deg, intensity 16.5